Starting from a cell relaxed with PBE, the powder XRD pattern of Tb3Hg was calculated for Cu Kα.

Most intense lines, 10° ≤ 2θ ≤ 90°, sorted by position:
hkl	2θ/deg	d [Å]	I/Imax
1 0 0	18.4	4.822	10
1 1 0	26.1	3.410	10
1 1 1	32.1	2.784	1000
2 0 0	37.3	2.411	505
2 1 0	41.9	2.157	6
2 2 0	53.8	1.705	355
3 1 1	64.0	1.454	420
2 2 2	67.3	1.392	121
4 0 0	79.5	1.206	57
3 3 1	88.3	1.106	183

Atomic structure:
```
data_Tb3Hg
_cell_length_a 4.822
_cell_length_b 4.822
_cell_length_c 4.822
_cell_angle_alpha 90.00
_cell_angle_beta 90.00
_cell_angle_gamma 90.00
_space_group_name_H-M_alt 'P m -3 m'
_space_group_IT_number 221
_space_group_name_Hall '-P 4 2 3'
loop_
_atom_site_label
_atom_site_type_symbol
_atom_site_fract_x
_atom_site_fract_y
_atom_site_fract_z
_atom_site_occupancy
Tb1 Tb 0.000 0.000 0.500 1
Hg1 Hg 0.500 0.500 0.500 1
```